The following is a calculated powder diffractogram of SrMg6Fe. It was derived from DFT lattice parameters and positions (PBE), using Cu Kα X-rays.
Peak positions follow from Bragg's law for the DFT cell and can differ from measured ones.

Largest 6 diffraction maxima, low angle first, 10° ≤ 2θ ≤ 90°:
hkl, 2θ (°), I/Imax
0 0 2, 14.93, 28
1 0 0, 17.30, 22
1 0 2, 22.92, 22
0 2 2, 31.88, 38
2 0 0, 34.96, 86
1 2 2, 36.50, 100

Crystal structure
Cell lengths 5.127, 6.369, 11.870 Å; angles 90.00, 90.00, 90.00 degrees
Sites, in units of the cell vectors:
Sr (0.000, 0.000, 0.000)
Sr (0.000, 0.500, 0.500)
Mg (0.000, 0.244, 0.251)
Mg (0.000, 0.256, 0.751)
Mg (0.000, 0.744, 0.751)
Mg (0.000, 0.756, 0.251)
Mg (0.500, 0.000, 0.173)
Mg (0.500, 0.000, 0.645)
Mg (0.500, 0.231, 0.406)
Mg (0.500, 0.269, 0.906)
Mg (0.500, 0.500, 0.145)
Mg (0.500, 0.500, 0.673)
Mg (0.500, 0.731, 0.906)
Mg (0.500, 0.769, 0.406)
Fe (0.000, 0.000, 0.461)
Fe (0.000, 0.500, 0.961)